Record 1
For Lu7Sb3, a crystal structure in OQMD, relaxed with PBE gives the calculated X-ray powder pattern in this record (Cu Kα (weighted mean of Kα1 and Kα2)).

Largest 10 diffraction maxima, sorted by position, 2θ = 10–80°:
d/Å, 2theta, Rel. int.
2.934, 30.47, 18.5
2.836, 31.54, 100.0
2.776, 32.24, 27.3
2.748, 32.58, 45.5
2.712, 33.03, 21.4
2.696, 33.23, 24.3
2.620, 34.23, 38.6
2.526, 35.53, 39.1
2.204, 40.94, 25.2
1.633, 56.36, 16.9

Structure:
Unit cell a=11.9579 b=11.9579 c=11.9579 alpha=97.81 beta=97.81 gamma=136.73
Fractional coordinates of all 40 atoms:
Lu: 0.0173 0.6633 0.6806
Lu: 0.0307 0.8585 0.5000
Lu: 0.1170 0.1237 0.2407
Lu: 0.1237 0.8830 0.0067
Lu: 0.1415 0.6415 0.1722
Lu: 0.1633 0.5173 0.6806
Lu: 0.2500 0.2500 0.0000
Lu: 0.2500 0.7500 0.5000
Lu: 0.3367 0.0173 0.3540
Lu: 0.3585 0.5307 0.5000
Lu: 0.3763 0.3830 0.7593
Lu: 0.3830 0.6237 0.0067
Lu: 0.4693 0.9693 0.8278
Lu: 0.4827 0.1633 0.6460
Lu: 0.5173 0.8367 0.3540
Lu: 0.5307 0.0307 0.1722
Lu: 0.6170 0.3763 0.9933
Lu: 0.6237 0.6170 0.2407
Lu: 0.6415 0.4693 0.5000
Lu: 0.6633 0.9827 0.6460
Lu: 0.7500 0.2500 0.5000
Lu: 0.7500 0.7500 0.0000
Lu: 0.8367 0.4827 0.3194
Lu: 0.8585 0.3585 0.8278
Lu: 0.8763 0.1170 0.9933
Lu: 0.8830 0.8763 0.7593
Lu: 0.9693 0.1415 0.5000
Lu: 0.9827 0.3367 0.3194
Sb: 0.0526 0.2500 0.8026
Sb: 0.2203 0.7203 0.9407
Sb: 0.2500 0.0526 0.8026
Sb: 0.2500 0.4474 0.1974
Sb: 0.2797 0.2203 0.5000
Sb: 0.4474 0.2500 0.1974
Sb: 0.5526 0.7500 0.8026
Sb: 0.7203 0.7797 0.5000
Sb: 0.7500 0.5526 0.8026
Sb: 0.7500 0.9474 0.1974
Sb: 0.7797 0.2797 0.0593
Sb: 0.9474 0.7500 0.1974

***

Record 2
For LuZrSc2Sb2, a crystal structure in OQMD, relaxed with PBE gives the calculated X-ray powder pattern in this record (Cu Kα (weighted mean of Kα1 and Kα2)).

Largest 10 diffraction maxima, sorted by position, 2θ = 10–80°:
d/Å, 2theta, Rel. int.
8.042, 11.00, 36.7
4.021, 22.11, 30.8
2.964, 30.15, 100.0
2.781, 32.19, 81.6
2.681, 33.43, 38.6
2.552, 35.17, 77.3
2.386, 37.70, 97.6
2.096, 43.16, 75.9
1.651, 55.67, 34.7
1.620, 56.85, 38.4

Structure:
Unit cell a=4.1917 b=4.1917 c=16.0846 alpha=90.00 beta=90.00 gamma=90.00
Fractional coordinates of all 12 atoms:
Lu: 0.0000 0.0000 0.0000
Lu: 0.5000 0.5000 0.5000
Zr: 0.0000 0.0000 0.3548
Zr: 0.5000 0.5000 0.8548
Sc: 0.0000 0.5000 0.1812
Sc: 0.0000 0.5000 0.6812
Sc: 0.5000 0.0000 0.1812
Sc: 0.5000 0.0000 0.6812
Sb: 0.0000 0.0000 0.5444
Sb: 0.0000 0.0000 0.8139
Sb: 0.5000 0.5000 0.0444
Sb: 0.5000 0.5000 0.3139

***

Record 3
For LuZr2ScSb2, a crystal structure in OQMD, relaxed with PBE gives the calculated X-ray powder pattern in this record (Cu Kα (weighted mean of Kα1 and Kα2)).

Largest 10 diffraction maxima, sorted by position, 2θ = 10–80°:
d/Å, 2theta, Rel. int.
4.073, 21.82, 26.2
2.977, 30.02, 27.8
2.792, 32.06, 87.0
2.686, 33.36, 37.4
2.559, 35.07, 32.0
2.394, 37.57, 100.0
2.105, 42.97, 58.0
1.657, 55.47, 34.1
1.488, 62.40, 18.8
1.264, 75.17, 25.4

Structure:
Unit cell a=4.2094 b=4.2094 c=16.1155 alpha=90.00 beta=90.00 gamma=90.00
Fractional coordinates of all 12 atoms:
Lu: 0.0000 0.0000 0.0000
Lu: 0.5000 0.5000 0.5000
Zr: 0.0000 0.5000 0.1764
Zr: 0.0000 0.5000 0.6764
Zr: 0.5000 0.0000 0.1764
Zr: 0.5000 0.0000 0.6764
Sc: 0.0000 0.0000 0.3497
Sc: 0.5000 0.5000 0.8497
Sb: 0.0000 0.0000 0.5365
Sb: 0.0000 0.0000 0.8140
Sb: 0.5000 0.5000 0.0365
Sb: 0.5000 0.5000 0.3140

***

Record 4
For Lu3Sb2Se, a crystal structure in OQMD, relaxed with PBE gives the calculated X-ray powder pattern in this record (Cu Kα (weighted mean of Kα1 and Kα2)).

Largest 10 diffraction maxima, sorted by position, 2θ = 10–80°:
d/Å, 2theta, Rel. int.
3.441, 25.89, 8.9
2.973, 30.06, 100.0
2.110, 42.86, 38.3
2.094, 43.20, 35.9
1.721, 53.24, 20.2
1.486, 62.49, 12.0
1.333, 70.64, 17.3
1.326, 71.13, 15.5
1.218, 78.53, 6.5
1.215, 78.76, 12.4

Structure:
Unit cell a=4.2197 b=4.2197 c=10.2225 alpha=90.00 beta=90.00 gamma=120.00
Fractional coordinates of all 6 atoms:
Lu: 0.0000 0.0000 0.0000
Lu: 0.3333 0.6667 0.6558
Lu: 0.6667 0.3333 0.3442
Sb: 0.3333 0.6667 0.1742
Sb: 0.6667 0.3333 0.8258
Se: 0.0000 0.0000 0.5000

***

Record 5
For YLu2Sb, a crystal structure in OQMD, relaxed with PBE gives the calculated X-ray powder pattern in this record (Cu Kα (weighted mean of Kα1 and Kα2)).

Largest 9 diffraction maxima, sorted by position, 2θ = 10–80°:
d/Å, 2theta, Rel. int.
4.351, 20.41, 6.7
2.664, 33.64, 100.0
2.272, 39.67, 4.0
1.884, 48.31, 18.1
1.729, 52.96, 1.8
1.538, 60.15, 37.4
1.450, 64.22, 1.4
1.332, 70.71, 11.5
1.274, 74.48, 1.4

Structure:
Unit cell a=7.5363 b=7.5363 c=7.5363 alpha=90.00 beta=90.00 gamma=90.00
Fractional coordinates of all 16 atoms:
Y: 0.0000 0.0000 0.0000
Y: 0.0000 0.5000 0.5000
Y: 0.5000 0.0000 0.5000
Y: 0.5000 0.5000 0.0000
Lu: 0.0000 0.0000 0.5000
Lu: 0.0000 0.5000 0.0000
Lu: 0.2500 0.2500 0.2500
Lu: 0.2500 0.7500 0.7500
Lu: 0.5000 0.0000 0.0000
Lu: 0.5000 0.5000 0.5000
Lu: 0.7500 0.2500 0.7500
Lu: 0.7500 0.7500 0.2500
Sb: 0.2500 0.2500 0.7500
Sb: 0.2500 0.7500 0.2500
Sb: 0.7500 0.2500 0.2500
Sb: 0.7500 0.7500 0.7500

***

Record 6
For LuSc2, a crystal structure in OQMD, relaxed with PBE gives the calculated X-ray powder pattern in this record (Cu Kα (weighted mean of Kα1 and Kα2)).

Largest 10 diffraction maxima, sorted by position, 2θ = 10–80°:
d/Å, 2theta, Rel. int.
4.006, 22.19, 29.4
3.881, 22.92, 98.5
3.137, 28.45, 63.5
2.973, 30.06, 31.4
2.921, 30.61, 49.9
2.670, 33.56, 36.8
2.470, 36.38, 100.0
2.218, 40.68, 55.7
1.926, 47.20, 31.2
1.706, 53.72, 37.4

Structure:
Unit cell a=4.4362 b=4.4362 c=8.0111 alpha=90.00 beta=90.00 gamma=90.00
Fractional coordinates of all 6 atoms:
Lu: 0.2500 0.2500 0.1919
Lu: 0.7500 0.7500 0.8081
Sc: 0.2500 0.2500 0.7922
Sc: 0.2500 0.7500 0.5000
Sc: 0.7500 0.2500 0.5000
Sc: 0.7500 0.7500 0.2078